1.
Starting from a structure optimized by DFT (GGA-PBE), the powder X-ray diffraction pattern of Li7B18O was calculated for Cu Kα, 1.54184 Å.

Peak list (12 most intense, 10 to 90 degrees two-theta, by intensity)
d_spacing  I (rel.)  (hkl)
3.542  100  0 0 2
7.083  53  1 0 -1
3.560  45  0 1 1
1.831  25  4 1 -2
4.118  25  0 1 0
2.245  17  2 1 1
2.901  15  2 1 -1
1.236  14  1 2 -5
2.059  13  0 2 0
1.632  11  3 2 -1
1.627  9  0 1 4
1.546  8  1 0 -5

Atomic structure:
abc: 8.1726 4.1177 8.1775
angles: 90.00 119.90 90.00
Positions (direct):
Li1 0.0000 0.0000 0.0000
Li2 0.0933 0.5000 0.2703
Li3 0.2573 0.5000 0.0559
Li4 0.3310 0.5000 0.6721
Li5 0.6690 0.5000 0.3279
Li6 0.7427 0.5000 0.9441
Li7 0.9067 0.5000 0.7297
B1 0.0000 0.2988 0.5000
B2 0.0000 0.7012 0.5000
B3 0.1214 0.0000 0.6732
B4 0.1232 0.0000 0.4520
B5 0.3261 0.0000 0.8772
B6 0.3276 0.0000 0.4501
B7 0.4500 0.0000 0.3279
B8 0.4525 0.0000 0.1241
B9 0.5000 0.2980 0.0000
B10 0.5000 0.3004 0.5000
B11 0.5000 0.6996 0.5000
B12 0.5000 0.7020 0.0000
B13 0.5475 0.0000 0.8759
B14 0.5500 0.0000 0.6721
B15 0.6724 0.0000 0.5499
B16 0.6739 0.0000 0.1228
B17 0.8768 0.0000 0.5480
B18 0.8786 0.0000 0.3268
O1 0.0000 0.5000 0.0000

2.
Starting from a structure optimized by DFT (GGA-PBE), the powder X-ray diffraction pattern of Sr2H3I was calculated for Cu Kα, 1.54184 Å.

Peak list (12 most intense, 10 to 90 degrees two-theta, by intensity)
d_spacing  I (rel.)  (hkl)
3.321  100  0 1 1
2.663  58  1 0 2
2.124  30  1 1 0
1.638  25  1 1 3
1.789  17  2 0 1
2.572  17  0 0 3
1.708  14  0 1 4
1.369  14  1 2 1
1.660  14  0 2 2
1.308  12  2 1 2
1.423  8  1 0 5
1.128  7  1 2 4

Atomic structure:
abc: 4.2482 4.2482 7.7159
angles: 90.00 90.00 120.00
Positions (direct):
Sr1 0.3333 0.6667 0.3213
Sr2 0.6667 0.3333 0.6787
H1 0.0000 0.0000 0.5000
H2 0.3333 0.6667 0.6415
H3 0.6667 0.3333 0.3585
I1 0.0000 0.0000 0.0000

3.
Starting from a structure optimized by DFT (GGA-PBE), the powder X-ray diffraction pattern of Ba2CeSnO6 was calculated for Cu Kα, 1.54184 Å.

Peak list (9 most intense, 10 to 90 degrees two-theta, by intensity)
d_spacing  I (rel.)  (hkl)
3.061  100  2 2 0
1.767  42  4 2 2
2.165  30  4 0 0
1.157  23  6 2 4
1.531  19  4 4 0
1.369  18  6 2 0
1.250  6  4 4 4
2.499  1  2 2 2
4.329  1  2 0 0

Atomic structure:
abc: 8.6585 8.6585 8.6585
angles: 90.00 90.00 90.00
Positions (direct):
Ba1 0.2500 0.2500 0.2500
Ba2 0.2500 0.2500 0.7500
Ba3 0.2500 0.7500 0.2500
Ba4 0.2500 0.7500 0.7500
Ba5 0.7500 0.2500 0.2500
Ba6 0.7500 0.2500 0.7500
Ba7 0.7500 0.7500 0.2500
Ba8 0.7500 0.7500 0.7500
Ce1 0.0000 0.0000 0.0000
Ce2 0.0000 0.5000 0.5000
Ce3 0.5000 0.0000 0.5000
Ce4 0.5000 0.5000 0.0000
Sn1 0.0000 0.0000 0.5000
Sn2 0.0000 0.5000 0.0000
Sn3 0.5000 0.0000 0.0000
Sn4 0.5000 0.5000 0.5000
O1 0.0168 0.5180 0.7579
O2 0.0168 0.9820 0.7421
O3 0.0180 0.2421 0.5168
O4 0.0180 0.2579 0.9832
O5 0.2421 0.5168 0.0180
O6 0.2421 0.9832 0.4820
O7 0.2579 0.5168 0.4820
O8 0.2579 0.9832 0.0180
O9 0.4820 0.2421 0.9832
O10 0.4820 0.2579 0.5168
O11 0.4832 0.5180 0.7421
O12 0.4832 0.9820 0.7579
O13 0.5168 0.0180 0.2421
O14 0.5168 0.4820 0.2579
O15 0.5180 0.7421 0.4832
O16 0.5180 0.7579 0.0168
O17 0.7421 0.0168 0.9820
O18 0.7421 0.4832 0.5180
O19 0.7579 0.0168 0.5180
O20 0.7579 0.4832 0.9820
O21 0.9820 0.7421 0.0168
O22 0.9820 0.7579 0.4832
O23 0.9832 0.0180 0.2579
O24 0.9832 0.4820 0.2421